[1]
Starting from DFT lattice parameters and positions (GGA-PBE), the powder diffractogram of Cu9Ag was computed for a wavelength of 1.5418 Å.

Structure:
```
data_Cu9Ag
_symmetry_space_group_name_H-M 'P -1'
_symmetry_Int_Tables_number 2
_symmetry_space_group_name_Hall '-P 1'
_cell_length_a 4.503
_cell_length_b 5.231
_cell_length_c 5.771
_cell_angle_alpha 76.89
_cell_angle_beta 75.32
_cell_angle_gamma 72.94
loop_
_atom_site_label
_atom_site_type_symbol
_atom_site_fract_x
_atom_site_fract_y
_atom_site_fract_z
_atom_site_occupancy
Cu1 Cu 0.000 0.000 0.000 1
Cu2 Cu 0.202 0.297 0.589 1
Cu3 Cu 0.202 0.806 0.594 1
Cu4 Cu 0.397 0.604 0.209 1
Cu5 Cu 0.413 0.092 0.201 1
Ag1 Ag 0.000 0.500 0.000 1
```

Peak list (8 most intense, 10° ≤ 2θ ≤ 90°, in order of rising 2θ)
- 2θ 42.54, I 100.0, hkl 0 2 -1
- 2θ 42.70, I 98.8, hkl 2 0 1
- 2θ 49.33, I 32.1, hkl 2 2 0
- 2θ 49.49, I 31.2, hkl -1 2 1
- 2θ 50.06, I 30.2, hkl 1 0 3
- 2θ 72.92, I 17.8, hkl 3 2 3
- 2θ 87.90, I 16.0, hkl 4 2 1
- 2θ 88.82, I 15.3, hkl 1 -2 4


[2]
Starting from DFT lattice parameters and positions (GGA-PBE), the powder diffractogram of NaLiAg2Te2 was computed for a wavelength of 1.5418 Å.

Structure:
```
data_NaLiAg2Te2
_symmetry_space_group_name_H-M 'P 1 m 1'
_symmetry_Int_Tables_number 6
_symmetry_space_group_name_Hall 'P -2y'
_cell_length_a 9.430
_cell_length_b 4.715
_cell_length_c 14.115
_cell_angle_alpha 90.00
_cell_angle_beta 109.44
_cell_angle_gamma 90.00
loop_
_atom_site_label
_atom_site_type_symbol
_atom_site_fract_x
_atom_site_fract_y
_atom_site_fract_z
_atom_site_occupancy
Na1 Na 0.000 0.000 0.000 1
Na2 Na 0.123 0.500 0.742 1
Na3 Na 0.250 0.000 0.495 1
Na4 Na 0.507 0.000 0.997 1
Li1 Li 0.377 0.500 0.247 1
Li2 Li 0.639 0.500 0.749 1
Li3 Li 0.753 0.000 0.496 1
Li4 Li 0.881 0.500 0.252 1
Ag1 Ag 0.068 0.500 0.132 1
Ag2 Ag 0.189 0.000 0.873 1
Ag3 Ag 0.334 0.500 0.626 1
Ag4 Ag 0.445 0.000 0.367 1
Ag5 Ag 0.572 0.500 0.129 1
Ag6 Ag 0.688 0.000 0.863 1
Ag7 Ag 0.803 0.500 0.613 1
Ag8 Ag 0.931 0.000 0.370 1
Te1 Te 0.128 0.000 0.250 1
Te2 Te 0.254 0.500 0.002 1
Te3 Te 0.379 0.000 0.746 1
Te4 Te 0.501 0.500 0.490 1
Te5 Te 0.629 0.000 0.247 1
Te6 Te 0.754 0.500 0.996 1
Te7 Te 0.872 0.000 0.740 1
Te8 Te 0.999 0.500 0.494 1
```

Peak list (8 most intense, 10° ≤ 2θ ≤ 90°, in order of rising 2θ)
- 2θ 23.12, I 98.0, hkl 2 0 1
- 2θ 38.20, I 100.0, hkl 0 2 0
- 2θ 45.12, I 43.8, hkl 2 2 1
- 2θ 55.09, I 11.2, hkl 4 2 -2
- 2θ 60.55, I 15.8, hkl 6 0 -1
- 2θ 69.02, I 24.1, hkl 2 3 -5
- 2θ 73.86, I 9.6, hkl 6 2 -1
- 2θ 86.33, I 8.3, hkl 2 4 1


[3]
Starting from DFT lattice parameters and positions (GGA-PBE), the powder diffractogram of LaCo2GeP was computed for a wavelength of 1.5418 Å.

Structure:
```
data_LaCo2GeP
_symmetry_space_group_name_H-M 'I 4 m m'
_symmetry_Int_Tables_number 107
_symmetry_space_group_name_Hall 'I 4 -2'
_cell_length_a 4.033
_cell_length_b 4.033
_cell_length_c 10.059
_cell_angle_alpha 90.00
_cell_angle_beta 90.00
_cell_angle_gamma 90.00
loop_
_atom_site_label
_atom_site_type_symbol
_atom_site_fract_x
_atom_site_fract_y
_atom_site_fract_z
_atom_site_occupancy
La1 La 0.000 0.000 0.000 1
Co1 Co 0.000 0.500 0.261 1
Ge1 Ge 0.000 0.000 0.637 1
P1 P 0.000 0.000 0.361 1
```

Peak list (8 most intense, 10° ≤ 2θ ≤ 90°, in order of rising 2θ)
- 2θ 23.77, I 26.0, hkl 1 0 1
- 2θ 34.79, I 92.7, hkl 1 0 3
- 2θ 36.21, I 100.0, hkl 1 1 2
- 2θ 44.95, I 57.2, hkl 2 0 0
- 2θ 50.71, I 19.8, hkl 1 0 5
- 2θ 58.07, I 41.3, hkl 2 1 3
- 2θ 64.47, I 24.9, hkl 1 1 6
- 2θ 77.15, I 20.2, hkl 3 1 2


[4]
Starting from DFT lattice parameters and positions (GGA-PBE), the powder diffractogram of Nb3SICl6 was computed for a wavelength of 1.5418 Å.

Structure:
```
data_Nb3SICl6
_symmetry_space_group_name_H-M 'P 3 m 1'
_symmetry_Int_Tables_number 156
_symmetry_space_group_name_Hall 'P 3 -2"'
_cell_length_a 6.9938
_cell_length_b 6.9938
_cell_length_c 6.3981
_cell_angle_alpha 90.00
_cell_angle_beta 90.00
_cell_angle_gamma 120.00
loop_
_atom_site_label
_atom_site_type_symbol
_atom_site_fract_x
_atom_site_fract_y
_atom_site_fract_z
_atom_site_occupancy
Nb1 Nb 0.1970 0.3940 0.0000 1
S1 S 0.3333 0.6667 0.2772 1
I1 I 0.0000 0.0000 0.7275 1
Cl1 Cl 0.0061 0.5031 0.7540 1
Cl2 Cl 0.3323 0.1661 0.2013 1
```

Peak list (8 most intense, 10° ≤ 2θ ≤ 90°, in order of rising 2θ)
- 2θ 13.84, I 83.7, hkl 0 0 1
- 2θ 14.63, I 45.9, hkl 1 0 0
- 2θ 20.19, I 40.0, hkl 0 1 1
- 2θ 32.72, I 100.0, hkl 0 2 1
- 2θ 39.36, I 21.1, hkl 2 1 0
- 2θ 41.04, I 59.8, hkl 0 2 2
- 2θ 52.33, I 22.0, hkl 2 2 0
- 2θ 52.48, I 22.6, hkl 2 0 3